Entry 1:
For PmPr, a DFT-relaxed cell (PBE, the Materials Project) gives the calculated powder diffraction line list in this record (Cu Kα, 1.54184 Å).

Atomic structure:
```
2
Lattice="3.6972 0.0000 0.0000 -1.8486 3.2019 0.0000 0.0000 0.0000 6.0517" Properties=species:S:1:pos:R:3 pbc="T T T"
Pm 0.0000 0.0000 0.0000
Pr 1.8486 1.0673 3.0259
```

Largest 6 diffraction maxima, in order of falling intensity, 10° ≤ 2θ ≤ 90°:
31.61 deg, 2.830 Å, rel. 1000
29.52 deg, 3.026 Å, rel. 266
27.86 deg, 3.202 Å, rel. 232
58.51 deg, 1.578 Å, rel. 231
53.70 deg, 1.707 Å, rel. 224
49.29 deg, 1.849 Å, rel. 193

Entry 2:
For Pm3Pr, a DFT-relaxed cell (PBE, the Materials Project) gives the calculated powder diffraction line list in this record (Cu Kα, 1.54184 Å).

Atomic structure:
```
8
Lattice="7.3498 0.0000 0.0000 -3.6749 6.3651 0.0000 0.0000 0.0000 6.0353" Properties=species:S:1:pos:R:3 pbc="T T T"
Pm 0.0000 2.1172 1.5088
Pm -1.8413 5.3065 1.5088
Pm 1.8336 1.0586 4.5265
Pm 1.8413 5.3065 1.5088
Pm 5.5162 1.0586 4.5265
Pm 3.6749 4.2479 4.5265
Pr 0.0000 4.2434 4.5265
Pr 3.6749 2.1217 1.5088
```

Largest 6 diffraction maxima, in order of falling intensity, 10° ≤ 2θ ≤ 90°:
31.79 deg, 2.815 Å, rel. 1000
29.60 deg, 3.018 Å, rel. 268
28.04 deg, 3.183 Å, rel. 231
58.84 deg, 1.569 Å, rel. 230
53.92 deg, 1.701 Å, rel. 225
49.61 deg, 1.837 Å, rel. 192

Entry 3:
For PmPr3, a DFT-relaxed cell (PBE, the Materials Project) gives the calculated powder diffraction line list in this record (Cu Kα, 1.54184 Å).

Atomic structure:
```
4
Lattice="-2.6167 2.6167 5.2685 2.6167 -2.6167 5.2685 2.6167 2.6167 -5.2685" Properties=species:S:1:pos:R:3 pbc="T T T"
Pm 0.0000 0.0000 0.0000
Pr 2.6167 0.0000 2.6342
Pr 0.0000 0.0000 5.2685
Pr 0.0000 2.6167 2.6342
```

Largest 6 diffraction maxima, in order of falling intensity, 10° ≤ 2θ ≤ 90°:
29.50 deg, 3.028 Å, rel. 1000
34.27 deg, 2.617 Å, rel. 336
58.45 deg, 1.579 Å, rel. 289
49.07 deg, 1.856 Å, rel. 244
34.03 deg, 2.634 Å, rel. 171
58.14 deg, 1.587 Å, rel. 147

Entry 4:
For PmPrTl2, a DFT-relaxed cell (PBE, the Materials Project) gives the calculated powder diffraction line list in this record (Cu Kα, 1.54184 Å).

Atomic structure:
```
4
Lattice="0.0000 3.9120 3.9120 3.9120 0.0000 3.9120 3.9120 3.9120 0.0000" Properties=species:S:1:pos:R:3 pbc="T T T"
Pm 0.0000 0.0000 0.0000
Pr 3.9120 3.9120 3.9120
Tl 1.9560 1.9560 1.9560
Tl 5.8679 5.8679 5.8679
```

Largest 6 diffraction maxima, in order of falling intensity, 10° ≤ 2θ ≤ 90°:
32.36 deg, 2.766 Å, rel. 1000
57.73 deg, 1.597 Å, rel. 391
46.42 deg, 1.956 Å, rel. 186
77.10 deg, 1.237 Å, rel. 168
67.75 deg, 1.383 Å, rel. 121
86.10 deg, 1.129 Å, rel. 43